# 1
Theoretical powder X-ray diffraction pattern of La2MgWO6 for Cu Kα, 1.54184 Å, from a crystal structure in the Materials Project, relaxed with PBE+U.

Principal peaks in the range 5° ≤ 2θ ≤ 70°, low angle first:
d/Å, Rel. int., hkl
4.691, 39, 1 0 1
2.883, 97, 1 1 0
2.823, 100, 1 0 4
2.437, 19, 1 1 3
2.017, 53, 0 2 4
1.664, 26, 3 0 0
1.653, 43, 2 1 4
1.619, 19, 0 1 8
1.441, 15, 2 2 0
1.412, 16, 2 0 8

Structural model:
```
data_La2MgWO6
_cell_length_a 5.7653
_cell_length_b 5.7653
_cell_length_c 13.6934
_cell_angle_alpha 90.00
_cell_angle_beta 90.00
_cell_angle_gamma 120.00
_space_group_name_H-M_alt 'R -3'
_space_group_IT_number 148
_space_group_name_Hall '-R 3'
loop_
_atom_site_label
_atom_site_fract_x
_atom_site_fract_y
_atom_site_fract_z
_atom_site_occupancy
La1 0.0000 0.0000 0.2489 1
Mg1 0.0000 0.0000 0.0000 1
W1 0.0000 0.0000 0.5000 1
O1 0.0002 0.4140 0.7509 1
```

---

# 2
Theoretical powder X-ray diffraction pattern of SrLaMnMoO6 for Cu Kα, 1.54184 Å, from a crystal structure in the Materials Project, relaxed with PBE+U.

Principal peaks in the range 5° ≤ 2θ ≤ 70°, low angle first:
d/Å, Rel. int., hkl
2.919, 45, 0 2 0
2.894, 100, 1 1 1
2.874, 98, 1 1 -3
2.848, 46, 2 0 -2
2.039, 79, 0 0 4
1.796, 15, 1 3 -2
1.672, 20, 0 2 4
1.657, 22, 3 1 -1
1.646, 23, 3 1 -5
1.437, 17, 2 2 -6

Structural model:
```
data_SrLaMnMoO6
_cell_length_a 5.6956
_cell_length_b 5.8380
_cell_length_c 9.9089
_cell_angle_alpha 90.00
_cell_angle_beta 124.54
_cell_angle_gamma 90.00
_space_group_name_H-M_alt 'P 1 c 1'
_space_group_IT_number 7
loop_
_space_group_symop_operation_xyz
'x,y,z'
'x,-y,z+1/2'
loop_
_atom_site_label
_atom_site_fract_x
_atom_site_fract_y
_atom_site_fract_z
_atom_site_occupancy
Sr1 0.0000 0.2107 0.0000 1
La1 0.4834 0.3007 0.4983 1
Mn1 0.7407 0.2463 0.2487 1
Mo1 0.2411 0.2462 0.7479 1
O1 0.0079 0.4449 0.7840 1
O2 0.1042 0.0434 0.3007 1
O3 0.3977 0.4782 0.1955 1
O4 0.4717 0.0589 0.7014 1
O5 0.5593 0.2861 0.9876 1
O6 0.8983 0.2212 0.5062 1
```

---

# 3
Theoretical powder X-ray diffraction pattern of NaLa2Mn3O9 for Cu Kα, 1.54184 Å, from a crystal structure in the Materials Project, relaxed with PBE+U.

Principal peaks in the range 5° ≤ 2θ ≤ 70°, low angle first:
d/Å, Rel. int., hkl
4.748, 30, 1 0 0
2.752, 100, 1 -1 0
2.728, 95, 1 2 0
2.719, 95, 2 1 0
2.231, 46, 2 2 1
1.952, 37, 0 2 2
1.940, 37, 2 0 2
1.906, 34, 2 2 -2
1.581, 37, 3 2 2
1.567, 35, 3 3 0

Structural model:
```
data_NaLa2Mn3O9
_cell_length_a 5.4378
_cell_length_b 5.4559
_cell_length_c 6.7004
_cell_angle_alpha 88.85
_cell_angle_beta 89.14
_cell_angle_gamma 60.66
_space_group_name_H-M_alt 'P -1'
_space_group_IT_number 2
loop_
_space_group_symop_operation_xyz
'x,y,z'
'-x,-y,-z'
loop_
_atom_site_label
_atom_site_fract_x
_atom_site_fract_y
_atom_site_fract_z
_atom_site_occupancy
Na1 0.0000 0.0000 0.0000 1
La1 0.3331 0.3328 0.6750 1
Mn1 0.0000 0.0000 0.5000 1
Mn2 0.3338 0.3329 0.1626 1
O1 0.0000 0.5000 0.0000 1
O2 0.1710 0.6588 0.3449 1
O3 0.1722 0.1721 0.3435 1
O4 0.3423 0.8285 0.6549 1
O5 0.5000 0.0000 0.0000 1
O6 0.5000 0.5000 0.0000 1
```

---

# 4
Theoretical powder X-ray diffraction pattern of NaSrLaMnO6 for Cu Kα, 1.54184 Å, from a crystal structure in the Materials Project, relaxed with PBE+U.

Principal peaks in the range 5° ≤ 2θ ≤ 70°, low angle first:
d/Å, Rel. int., hkl
4.875, 23, 1 1 1
4.222, 23, 2 0 0
2.985, 100, 2 2 0
2.546, 19, 3 1 1
2.111, 38, 4 0 0
1.937, 11, 3 3 1
1.888, 8, 4 2 0
1.724, 39, 4 2 2
1.625, 6, 3 3 3
1.493, 22, 4 4 0

Structural model:
```
data_NaSrLaMnO6
_cell_length_a 8.4443
_cell_length_b 8.4443
_cell_length_c 8.4443
_cell_angle_alpha 90.00
_cell_angle_beta 90.00
_cell_angle_gamma 90.00
_space_group_name_H-M_alt 'F -4 3 m'
_space_group_IT_number 216
_space_group_name_Hall 'F -4 2 3'
loop_
_atom_site_label
_atom_site_fract_x
_atom_site_fract_y
_atom_site_fract_z
_atom_site_occupancy
Na1 0.0000 0.0000 0.0000 1
Sr1 0.0000 0.0000 0.5000 1
La1 0.2500 0.2500 0.2500 1
Mn1 0.2500 0.2500 0.7500 1
O1 0.0246 0.2500 0.7500 1
```

---

# 5
Theoretical powder X-ray diffraction pattern of Na2La7Ti8Mn2O30 for Cu Kα, 1.54184 Å, from a crystal structure in the Materials Project, relaxed with PBE+U.

Principal peaks in the range 5° ≤ 2θ ≤ 70°, low angle first:
d/Å, Rel. int., hkl
6.010, 24, 0 1 2
2.809, 32, 0 0 5
2.799, 31, 1 2 -1
2.783, 32, 1 2 4
2.775, 100, 2 0 1
2.277, 17, 2 2 2
1.981, 23, 2 0 -4
1.969, 23, 2 0 6
1.960, 23, 0 4 2
1.615, 21, 1 2 9

Structural model:
```
data_Na2La7Ti8Mn2O30
_cell_length_a 5.5562
_cell_length_b 7.8389
_cell_length_c 14.8197
_cell_angle_alpha 74.82
_cell_angle_beta 79.40
_cell_angle_gamma 89.51
_space_group_name_H-M_alt 'P 1'
_space_group_IT_number 1
loop_
_space_group_symop_operation_xyz
'x,y,z'
loop_
_atom_site_label
_atom_site_fract_x
_atom_site_fract_y
_atom_site_fract_z
_atom_site_occupancy
Na1 0.0000 0.0000 0.0000 1
Na2 0.3966 0.4001 0.2018 1
La1 0.9998 0.5038 0.9989 1
La2 0.1986 0.1972 0.6042 1
La3 0.3996 0.8993 0.1976 1
La4 0.5988 0.5993 0.7973 1
La5 0.5996 0.0943 0.8077 1
La6 0.7970 0.2984 0.4025 1
La7 0.7997 0.7984 0.4011 1
Ti1 0.1008 0.3507 0.7996 1
Ti2 0.2928 0.5506 0.4037 1
Ti3 0.3014 0.0465 0.4039 1
Ti4 0.4932 0.7522 0.0048 1
Ti5 0.5003 0.2512 0.0068 1
Ti6 0.6994 0.9437 0.6042 1
Ti7 0.8885 0.6449 0.2002 1
Ti8 0.9090 0.1533 0.1992 1
Mn1 0.0971 0.8488 0.8028 1
Mn2 0.6963 0.4592 0.6001 1
O1 0.0320 0.5182 0.5002 1
O2 0.0543 0.5744 0.3103 1
O3 0.0825 0.0804 0.8284 1
O4 0.1029 0.6037 0.7917 1
O5 0.1300 0.1266 0.2876 1
O6 0.1731 0.1746 0.0913 1
O7 0.2188 0.7240 0.1118 1
O8 0.2719 0.7515 0.9143 1
O9 0.2894 0.2893 0.4189 1
O10 0.3119 0.8154 0.3720 1
O11 0.3362 0.3349 0.8932 1
O12 0.3702 0.3483 0.7029 1
O13 0.4323 0.9394 0.7089 1
O14 0.4761 0.9841 0.5040 1
O15 0.4820 0.4827 0.0270 1
O16 0.5054 0.0069 0.9817 1
O17 0.5529 0.5307 0.4706 1
O18 0.5771 0.5916 0.2812 1
O19 0.6282 0.1122 0.3132 1
O20 0.6618 0.1602 0.1139 1
O21 0.6926 0.7040 0.6245 1
O22 0.7138 0.2097 0.5703 1
O23 0.7334 0.7322 0.0881 1
O24 0.7541 0.7646 0.8921 1
O25 0.8106 0.3255 0.9163 1
O26 0.8588 0.3554 0.7248 1
O27 0.8856 0.8875 0.2254 1
O28 0.9082 0.4099 0.1773 1
O29 0.9201 0.9576 0.6912 1
O30 0.9752 0.9934 0.4806 1
```

---

# 6
Theoretical powder X-ray diffraction pattern of NaLa2Ti2MnO9 for Cu Kα, 1.54184 Å, from a crystal structure in the Materials Project, relaxed with PBE+U.

Principal peaks in the range 5° ≤ 2θ ≤ 70°, low angle first:
d/Å, Rel. int., hkl
13.586, 19, 0 0 1
4.528, 30, 2 0 -1
2.778, 47, 0 2 0
2.769, 100, 3 1 0
1.965, 36, 2 2 -4
1.952, 16, 4 0 4
1.604, 22, 5 1 -4
1.601, 19, 3 3 0
1.597, 21, 4 2 4
1.385, 18, 6 2 0

Structural model:
```
data_NaLa2Ti2MnO9
_cell_length_a 9.5891
_cell_length_b 5.5506
_cell_length_c 13.5867
_cell_angle_alpha 90.00
_cell_angle_beta 90.44
_cell_angle_gamma 90.00
_space_group_name_H-M_alt 'C 1 m 1'
_space_group_IT_number 8
loop_
_space_group_symop_operation_xyz
'x,y,z'
'x,-y,z'
'x+1/2,y+1/2,z'
'x+1/2,-y+1/2,z'
loop_
_atom_site_label
_atom_site_fract_x
_atom_site_fract_y
_atom_site_fract_z
_atom_site_occupancy
Na1 0.0000 0.0000 0.0000 1
Na2 0.1664 0.5000 0.3325 1
La1 0.1624 0.5000 0.8401 1
La2 0.3298 0.0000 0.1695 1
La3 0.3355 0.0000 0.6664 1
La4 0.4961 0.5000 0.4995 1
Ti1 0.0008 0.0000 0.2497 1
Ti2 0.1685 0.5000 0.0848 1
Ti3 0.3346 0.0000 0.9198 1
Ti4 0.3370 0.0000 0.4145 1
Mn1 0.1644 0.5000 0.5810 1
Mn2 0.4971 0.5000 0.7529 1
O1 0.0171 0.5000 0.4758 1
O2 0.0573 0.2475 0.6533 1
O3 0.1057 0.2457 0.1776 1
O4 0.1410 0.0000 0.3565 1
O5 0.1929 0.0000 0.8116 1
O6 0.2254 0.2540 0.9890 1
O7 0.2803 0.2428 0.5137 1
O8 0.3070 0.5000 0.6920 1
O9 0.3512 0.5000 0.1466 1
O10 0.3926 0.2485 0.3200 1
O11 0.4382 0.2363 0.8449 1
O12 0.4746 0.0000 0.0256 1
```